Diffraction record for CeCoPH2. The powder XRD pattern is computed, not measured: it uses a crystal structure in Alexandria, relaxed with GGA-PBE and Cu Kα (λ = 1.5418 Å).
Kinematic intensities with the Lorentz-polarization factor, no thermal factor.

Largest 12 diffraction maxima, sorted by position, 2θ from 5° to 70°:
2θ (°)  intensity
29.44  100.0
30.68  16.7
35.16  22.3
35.46  93.1
38.51  31.6
38.77  60.0
40.01  43.0
48.00  23.1
53.78  19.5
60.02  16.2
60.52  25.5
61.08  22.5

Crystal structure
a b c (Å): 5.445 5.445 5.828
angles (deg): 90.00 90.00 139.26
Fractional positions:
Ce (0.214, 0.786, 0.750)
Ce (0.786, 0.214, 0.250)
Co (0.500, 0.500, 0.000)
Co (0.500, 0.500, 0.500)
P (0.064, 0.936, 0.250)
P (0.936, 0.064, 0.750)
H (0.346, 0.654, 0.064)
H (0.346, 0.654, 0.436)
H (0.654, 0.346, 0.564)
H (0.654, 0.346, 0.936)

Diffraction record for Li11Zn4. The powder XRD pattern is computed, not measured: it uses a crystal structure in Alexandria, relaxed with GGA-PBE and Cu Kα (λ = 1.5418 Å).
Kinematic intensities with the Lorentz-polarization factor, no thermal factor.

Largest 12 diffraction maxima, sorted by position, 2θ from 5° to 70°:
2θ (°)  intensity
12.54  100.0
17.77  17.4
26.53  22.3
32.11  34.1
35.16  12.5
36.94  8.1
37.47  15.1
38.25  11.6
39.66  7.6
40.41  7.3
41.27  36.8
67.25  8.8

Crystal structure
a b c (Å): 9.982 9.982 5.104
angles (deg): 90.00 90.00 90.00
Fractional positions:
Li (0.000, 0.000, 0.000)
Li (0.048, 0.276, 0.000)
Li (0.107, 0.107, 0.500)
Li (0.195, 0.805, 0.254)
Li (0.195, 0.805, 0.746)
Li (0.224, 0.548, 0.500)
Li (0.276, 0.048, 0.000)
Li (0.305, 0.305, 0.246)
Li (0.305, 0.305, 0.754)
Li (0.393, 0.607, 0.000)
Li (0.452, 0.776, 0.500)
Li (0.500, 0.500, 0.500)
Li (0.548, 0.224, 0.500)
Li (0.607, 0.393, 0.000)
Li (0.695, 0.695, 0.246)
Li (0.695, 0.695, 0.754)
Li (0.724, 0.952, 0.000)
Li (0.776, 0.452, 0.500)
Li (0.805, 0.195, 0.254)
Li (0.805, 0.195, 0.746)
Li (0.893, 0.893, 0.500)
Li (0.952, 0.724, 0.000)
Zn (0.028, 0.366, 0.500)
Zn (0.134, 0.528, 0.000)
Zn (0.366, 0.028, 0.500)
Zn (0.472, 0.866, 0.000)
Zn (0.528, 0.134, 0.000)
Zn (0.634, 0.972, 0.500)
Zn (0.866, 0.472, 0.000)
Zn (0.972, 0.634, 0.500)